[1]
This entry pairs a crystal structure of Li4Mg7 with its simulated powder diffraction line list. Radiation: Cu Kα, 1.54184 Å. Structure: DFT lattice parameters and positions (GGA-PBE).
Lines closer than 0.1° are merged.

Main lines, sorted by position (5 to 70 degrees two-theta):
2θ/deg, intensity
23.6, 23
25.8, 21
32.7, 100
34.4, 20
39.2, 17
40.0, 43
45.6, 16
53.8, 11
57.2, 17
62.2, 27

Crystal structure
```
11
Lattice="7.9653 0.0000 0.0000 -3.9827 6.8982 0.0000 0.0000 0.0000 4.5072" Properties=species:S:1:pos:R:3 pbc="T T T"
Li 0.0000 0.0000 0.0000
Li -1.5065 3.7290 2.2536
Li 1.5065 3.7290 2.2536
Li 0.0000 6.3383 2.2536
Mg 0.0000 2.7470 0.0000
Mg -1.6037 5.5247 0.0000
Mg 1.6078 0.9283 2.2536
Mg 1.6037 5.5247 0.0000
Mg 3.9827 2.2994 0.0000
Mg 6.3575 0.9283 2.2536
Mg 3.9827 5.0416 2.2536
```



[2]
This entry pairs a crystal structure of LiMgMn with its simulated powder diffraction line list. Radiation: Cu Kα, 1.54184 Å. Structure: DFT lattice parameters and positions (GGA-PBE).
Lines closer than 0.1° are merged.

Main lines, sorted by position (5 to 70 degrees two-theta):
2θ/deg, intensity
20.6, 70
23.1, 94
33.3, 36
37.7, 100
38.0, 98
42.0, 44
43.6, 36
45.0, 59
54.6, 15
63.2, 45

Crystal structure
```
3
Lattice="-1.4171 2.1522 4.3033 1.4171 -2.1522 4.3033 1.4171 2.1522 -4.3033" Properties=species:S:1:pos:R:3 pbc="T T T"
Li 0.0000 0.0000 0.0000
Mg 0.0000 0.0000 5.7977
Mn 0.0000 0.0000 2.8797
```



[3]
This entry pairs a crystal structure of Li2MgMn with its simulated powder diffraction line list. Radiation: Cu Kα, 1.54184 Å. Structure: DFT lattice parameters and positions (GGA-PBE).
Lines closer than 0.1° are merged.

Main lines, sorted by position (5 to 70 degrees two-theta):
2θ/deg, intensity
9.4, 100
18.8, 6
28.3, 6
34.4, 16
38.1, 9
38.3, 34
38.8, 8
40.0, 6
44.1, 10
68.9, 8

Crystal structure
```
4
Lattice="1.6694 -2.3233 0.0000 1.6694 2.3233 0.0000 0.0000 0.0000 9.4516" Properties=species:S:1:pos:R:3 pbc="T T T"
Li 0.0000 0.0000 0.0000
Li 1.6694 0.0000 2.4754
Mg 0.0000 0.0000 4.9727
Mn 1.6694 0.0000 7.2583
```



[4]
This entry pairs a crystal structure of LiMgMn with its simulated powder diffraction line list. Radiation: Cu Kα, 1.54184 Å. Structure: DFT lattice parameters and positions (GGA-PBE).
Lines closer than 0.1° are merged.

Main lines, sorted by position (5 to 70 degrees two-theta):
2θ/deg, intensity
12.6, 100
25.4, 15
33.6, 32
38.3, 87
38.5, 21
39.5, 20
41.6, 10
46.5, 16
56.3, 13
69.6, 13

Crystal structure
```
3
Lattice="0.0000 2.2827 7.0101 1.6899 0.0000 7.0101 1.6899 2.2827 0.0000" Properties=species:S:1:pos:R:3 pbc="T T T"
Li 0.0000 0.0000 0.0000
Mg 1.6899 2.2827 9.5554
Mn 1.6899 2.2827 4.8100
```